For NbV2CrO6, a DFT-relaxed cell (PBE+U, Alexandria) gives the theoretical powder X-ray diffraction pattern in this record (Cu Kα).
Peak positions follow from Bragg's law for the DFT cell and can differ from measured ones.

Most intense lines, 5° ≤ 2θ ≤ 70°, by angle:
hkl, two_theta, I (rel.)
1 0 1, 20.54, 15.1
0 1 2, 23.22, 64.6
1 0 4, 31.88, 100.0
1 1 0, 34.23, 89.3
1 1 3, 39.25, 23.7
0 2 4, 47.47, 41.2
1 1 6, 51.88, 75.4
2 1 4, 59.82, 34.2
3 0 0, 61.29, 37.5
1 0 10, 68.87, 16.3

Structure:
```
data_NbV2CrO6
_symmetry_space_group_name_H-M 'R 3'
_symmetry_Int_Tables_number 146
_symmetry_space_group_name_Hall 'R 3'
_cell_length_a 5.2392
_cell_length_b 5.2392
_cell_length_c 14.2932
_cell_angle_alpha 90.00
_cell_angle_beta 90.00
_cell_angle_gamma 120.00
loop_
_atom_site_label
_atom_site_type_symbol
_atom_site_fract_x
_atom_site_fract_y
_atom_site_fract_z
Nb1 Nb 0.0000 0.0000 0.0000
V1 V 0.0000 0.0000 0.2969
V2 V 0.0000 0.0000 0.8026
Cr1 Cr 0.0000 0.0000 0.4994
O1 O 0.0377 0.6897 0.0669
O2 O 0.0389 0.3492 0.5677
```